1.
Starting from a PBE-relaxed structure, the PXRD pattern of RbAlSn2 was computed for Cu Kα (weighted mean of Kα1 and Kα2).

```
RbAlSn2
1.0
2.308 1.332 7.426
-2.308 1.332 7.426
0.000 -2.665 7.426
Rb Al Sn
1 1 2
Direct
0.000 0.000 0.000
0.500 0.500 0.500
0.214 0.214 0.214
0.786 0.786 0.786
```

Main lines, by angle (2θ = 15–90°):
2θ 22.6, 3.934 Å, I = 29.4
2θ 23.6, 3.762 Å, I = 21.3
2θ 27.5, 3.247 Å, I = 100.0
2θ 30.0, 2.975 Å, I = 87.5
2θ 36.1, 2.490 Å, I = 23.6
2θ 39.0, 2.308 Å, I = 71.3
2θ 46.7, 1.946 Å, I = 23.8
2θ 48.4, 1.881 Å, I = 21.2
2θ 50.0, 1.823 Å, I = 21.6
2θ 54.4, 1.688 Å, I = 33.7

2.
Starting from a PBE-relaxed structure, the PXRD pattern of FeNi2Te4 was computed for Cu Kα (weighted mean of Kα1 and Kα2).

```
FeNi2Te4
1.0
-2.465 2.465 7.075
2.465 -2.465 7.075
2.465 2.465 -7.075
Fe Ni Te
1 2 4
Direct
0.000 0.000 0.000
0.416 0.416 0.000
0.584 0.584 0.000
0.000 0.500 0.500
0.245 0.245 0.000
0.500 0.000 0.500
0.755 0.755 0.000
```

Main lines, by angle (2θ = 15–90°):
2θ 25.2, 3.538 Å, I = 59.3
2θ 25.6, 3.486 Å, I = 17.8
2θ 28.5, 3.127 Å, I = 100.0
2θ 36.4, 2.465 Å, I = 89.1
2θ 44.8, 2.023 Å, I = 49.6
2θ 46.5, 1.953 Å, I = 59.7
2θ 52.5, 1.743 Å, I = 30.5
2θ 59.1, 1.564 Å, I = 21.6
2θ 60.8, 1.523 Å, I = 23.9
2θ 72.7, 1.301 Å, I = 30.7

3.
Starting from a PBE-relaxed structure, the PXRD pattern of Rb2SnBr6 was computed for Cu Kα (weighted mean of Kα1 and Kα2).

```
Rb2SnBr6
1.0
0.000 5.488 5.488
5.488 0.000 5.488
5.488 5.488 0.000
Rb Sn Br
2 1 6
Direct
0.250 0.250 0.250
0.750 0.750 0.750
0.000 0.000 0.000
0.242 0.242 0.758
0.242 0.758 0.242
0.242 0.758 0.758
0.758 0.242 0.242
0.758 0.242 0.758
0.758 0.758 0.242
```

Main lines, by angle (2θ = 15–90°):
2θ 22.9, 3.880 Å, I = 13.6
2θ 26.9, 3.309 Å, I = 13.4
2θ 28.2, 3.168 Å, I = 95.0
2θ 32.6, 2.744 Å, I = 100.0
2θ 46.8, 1.940 Å, I = 70.8
2θ 55.5, 1.655 Å, I = 38.6
2θ 58.2, 1.584 Å, I = 24.2
2θ 75.5, 1.259 Å, I = 15.0
2θ 77.8, 1.227 Å, I = 31.0
2θ 87.0, 1.120 Å, I = 23.9

4.
Starting from a PBE-relaxed structure, the PXRD pattern of Y3CdW was computed for Cu Kα (weighted mean of Kα1 and Kα2).

```
Y3CdW
1.0
5.431 0.000 0.000
0.000 5.431 0.000
0.000 0.000 5.431
Y Cd W
3 1 1
Direct
0.000 0.000 0.500
0.000 0.500 0.000
0.500 0.000 0.000
0.500 0.500 0.500
0.000 0.000 0.000
```

Main lines, by angle (2θ = 15–90°):
2θ 16.3, 5.431 Å, I = 42.4
2θ 23.2, 3.840 Å, I = 62.8
2θ 28.5, 3.136 Å, I = 26.6
2θ 33.0, 2.716 Å, I = 100.0
2θ 37.0, 2.429 Å, I = 22.2
2θ 40.7, 2.217 Å, I = 29.5
2θ 47.3, 1.920 Å, I = 71.7
2θ 58.9, 1.568 Å, I = 24.6
2θ 78.8, 1.214 Å, I = 31.1
2θ 88.1, 1.109 Å, I = 24.1

5.
Starting from a PBE-relaxed structure, the PXRD pattern of TiVGaTe2 was computed for Cu Kα (weighted mean of Kα1 and Kα2).

```
TiVGaTe2
1.0
5.301 0.000 0.000
0.000 5.301 0.000
0.000 0.000 4.728
Ti V Ga Te
1 1 1 2
Direct
0.000 0.000 0.000
0.500 0.500 0.000
0.000 0.000 0.500
0.000 0.500 0.500
0.500 0.000 0.500
```

Main lines, by angle (2θ = 15–90°):
2θ 18.8, 4.728 Å, I = 53.6
2θ 30.4, 2.937 Å, I = 100.0
2θ 33.8, 2.651 Å, I = 89.1
2θ 38.1, 2.364 Å, I = 32.0
2θ 39.0, 2.312 Å, I = 34.5
2θ 48.6, 1.874 Å, I = 31.2
2θ 51.8, 1.764 Å, I = 51.9
2θ 52.5, 1.742 Å, I = 14.9
2θ 58.4, 1.580 Å, I = 29.5
2θ 63.3, 1.469 Å, I = 28.1

6.
Starting from a PBE-relaxed structure, the PXRD pattern of La2SmGa was computed for Cu Kα (weighted mean of Kα1 and Kα2).

```
La2SmGa
1.0
2.738 -6.102 0.000
2.738 6.102 0.000
0.000 0.000 7.305
La Sm Ga
4 2 2
Direct
0.130 0.870 0.531
0.130 0.870 0.969
0.870 0.130 0.031
0.870 0.130 0.469
0.433 0.567 0.750
0.567 0.433 0.250
0.324 0.676 0.250
0.676 0.324 0.750
```

Main lines, by angle (2θ = 15–90°):
2θ 27.3, 3.266 Å, I = 18.7
2θ 29.3, 3.051 Å, I = 22.2
2θ 30.0, 2.981 Å, I = 31.7
2θ 30.3, 2.949 Å, I = 100.0
2θ 31.8, 2.816 Å, I = 19.2
2θ 32.7, 2.738 Å, I = 43.0
2θ 36.9, 2.435 Å, I = 24.3
2θ 44.5, 2.038 Å, I = 14.1
2θ 46.3, 1.962 Å, I = 15.2
2θ 56.9, 1.618 Å, I = 17.5

7.
Starting from a PBE-relaxed structure, the PXRD pattern of Cd2HgPd was computed for Cu Kα (weighted mean of Kα1 and Kα2).

```
Cd2HgPd
1.0
3.051 0.000 0.000
0.000 4.750 0.000
-1.519 -0.004 11.571
Cd Hg Pd
4 2 2
Direct
0.057 0.251 0.115
0.149 0.750 0.299
0.851 0.250 0.701
0.943 0.749 0.885
0.291 0.750 0.582
0.709 0.250 0.418
0.454 0.249 0.907
0.546 0.751 0.093
```

Main lines, by angle (2θ = 15–90°):
2θ 29.8, 2.994 Å, I = 67.1
2θ 30.9, 2.893 Å, I = 26.8
2θ 35.2, 2.550 Å, I = 96.0
2θ 36.4, 2.471 Å, I = 67.3
2θ 36.9, 2.436 Å, I = 98.0
2θ 37.9, 2.375 Å, I = 77.4
2θ 40.2, 2.244 Å, I = 100.0
2θ 52.7, 1.737 Å, I = 22.7
2θ 56.4, 1.630 Å, I = 23.1
2θ 71.3, 1.322 Å, I = 33.6

8.
Starting from a PBE-relaxed structure, the PXRD pattern of Th6Cd2Tc was computed for Cu Kα (weighted mean of Kα1 and Kα2).

```
Th6Cd2Tc
1.0
8.880 0.000 0.000
-4.440 7.690 0.000
0.000 0.000 3.788
Th Cd Tc
6 2 1
Direct
0.000 0.245 0.000
0.000 0.608 0.500
0.245 0.000 0.000
0.392 0.392 0.500
0.608 0.000 0.500
0.755 0.755 0.000
0.333 0.667 0.000
0.667 0.333 0.000
0.000 0.000 0.500
```

Main lines, by angle (2θ = 15–90°):
2θ 30.8, 2.907 Å, I = 69.3
2θ 31.0, 2.882 Å, I = 100.0
2θ 33.2, 2.698 Å, I = 52.4
2θ 35.0, 2.563 Å, I = 35.0
2θ 39.1, 2.306 Å, I = 25.6
2θ 48.0, 1.894 Å, I = 15.4
2θ 49.0, 1.858 Å, I = 18.2
2θ 57.6, 1.599 Å, I = 29.9
2θ 58.1, 1.587 Å, I = 23.8
2θ 60.8, 1.523 Å, I = 14.2